Pm2PrDyP4: simulated XRD peak list (a wavelength of 1.5418 Å), based on DFT lattice parameters and positions (PBE).

Crystal structure
a = 7.1341 Å, b = 4.1228 Å, c = 7.1343 Å
α = 90.00°, β = 109.45°, γ = 90.00°
Positions (direct):
Pm 0.0000 0.0000 0.0000
Pm 0.5000 0.5000 0.0000
Pr 0.0000 0.5000 0.5000
Dy 0.5000 0.0000 0.5000
P 0.2554 0.0000 0.7502
P 0.2563 0.5000 0.2535
P 0.7437 0.5000 0.7465
P 0.7446 0.0000 0.2498

Top 10 peaks for 10° ≤ 2θ ≤ 90°, in order of falling intensity:
- 2.914 Å, 2θ 30.69, I = 100.0, hkl 1 1 1
- 3.364 Å, 2θ 26.49, I = 81.8, hkl 2 0 0
- 2.060 Å, 2θ 43.95, I = 73.4, hkl 2 0 2
- 1.757 Å, 2θ 52.05, I = 40.5, hkl 3 1 1
- 1.303 Å, 2θ 72.55, I = 32.9, hkl 1 3 1
- 1.682 Å, 2θ 54.55, I = 25.7, hkl 0 0 4
- 1.189 Å, 2θ 80.80, I = 24.8, hkl 1 1 5
- 1.337 Å, 2θ 70.43, I = 16.3, hkl 4 0 2
- 1.121 Å, 2θ 86.86, I = 12.7, hkl 6 0 0
- 1.457 Å, 2θ 63.90, I = 11.9, hkl 2 2 2